Entry 1:
PmMg2SnPt4: theoretical powder diffraction line list (Cu Kα (weighted mean of Kα1 and Kα2)), based on the GGA-PBE geometry in Alexandria.
Kinematic intensities with the Lorentz-polarization factor, no thermal factor.

```
8
Lattice="2.2812 1.3170 8.4672 -2.2812 1.3170 8.4672 0.0000 -2.6341 8.4672" Properties=species:S:1:pos:R:3 pbc="T T T"
Pm 0.0000 0.0000 0.0000
Mg 0.0000 0.0000 6.2301
Mg 0.0000 0.0000 19.1715
Sn 0.0000 0.0000 12.7008
Pt 0.0000 0.0000 3.2490
Pt 0.0000 0.0000 10.0292
Pt 0.0000 0.0000 15.3723
Pt 0.0000 0.0000 22.1525
```

Principal peaks in the range 10 to 90 degrees two-theta, in order of rising 2θ:
23.6 deg, intensity 28
26.6 deg, intensity 38
33.5 deg, intensity 16
36.3 deg, intensity 88
39.5 deg, intensity 100
42.3 deg, intensity 18
45.5 deg, intensity 16
54.7 deg, intensity 27
69.6 deg, intensity 27
71.7 deg, intensity 18

***

Entry 2:
DyEr: theoretical powder diffraction line list (Cu Kα (weighted mean of Kα1 and Kα2)), based on the GGA-PBE geometry in Alexandria.
Kinematic intensities with the Lorentz-polarization factor, no thermal factor.

```
4
Lattice="3.5066 0.0000 0.0000 0.0000 4.9780 0.0000 0.0000 0.0000 7.0322" Properties=species:S:1:pos:R:3 pbc="T T T"
Dy 0.8766 1.2445 0.8835
Dy 2.6299 3.7335 6.1487
Er 0.8766 1.2445 4.3904
Er 2.6299 3.7335 2.6417
```

Principal peaks in the range 10 to 90 degrees two-theta, in order of rising 2θ:
31.2 deg, intensity 100
36.1 deg, intensity 51
52.0 deg, intensity 30
52.2 deg, intensity 6
61.9 deg, intensity 28
62.0 deg, intensity 14
64.9 deg, intensity 6
65.1 deg, intensity 6
85.0 deg, intensity 15
87.8 deg, intensity 8

***

Entry 3:
Na2HgTe: theoretical powder diffraction line list (Cu Kα (weighted mean of Kα1 and Kα2)), based on the GGA-PBE geometry in Alexandria.
Kinematic intensities with the Lorentz-polarization factor, no thermal factor.

```
16
Lattice="7.5682 0.0000 0.0000 0.0000 8.6630 0.0000 -7.5563 0.0000 8.1630" Properties=species:S:1:pos:R:3 pbc="T T T"
Na -0.0664 1.2754 1.3796
Na -3.8446 3.0561 5.4611
Na -0.0443 5.5935 2.6820
Na -3.8225 7.4010 6.7634
Na 3.8343 1.2620 1.3995
Na 0.0561 3.0695 5.4810
Na 3.8565 5.6069 2.7018
Na 0.0783 7.3876 6.7833
Hg 1.9458 4.4832 0.2793
Hg -1.8324 8.5113 4.3607
Hg 1.8442 0.1517 3.8022
Hg -1.9339 4.1798 7.8837
Te -5.6672 1.2518 7.1660
Te -1.8891 3.0797 3.0845
Te 1.9009 5.5833 5.0784
Te 5.6791 7.4112 0.9969
```

Principal peaks in the range 10 to 90 degrees two-theta, in order of rising 2θ:
14.9 deg, intensity 100
23.5 deg, intensity 90
23.7 deg, intensity 63
26.9 deg, intensity 90
28.0 deg, intensity 73
30.1 deg, intensity 44
32.3 deg, intensity 49
32.9 deg, intensity 86
34.6 deg, intensity 52
40.8 deg, intensity 69

***

Entry 4:
Pm2NdY9: theoretical powder diffraction line list (Cu Kα (weighted mean of Kα1 and Kα2)), based on the GGA-PBE geometry in Alexandria.
Kinematic intensities with the Lorentz-polarization factor, no thermal factor.

```
12
Lattice="5.0824 0.0000 0.0000 0.0000 5.0824 0.0000 0.0000 0.0000 15.2385" Properties=species:S:1:pos:R:3 pbc="T T T"
Pm 0.0000 0.0000 2.5381
Pm 0.0000 0.0000 12.7005
Nd 0.0000 0.0000 7.6193
Y 0.0000 2.5412 0.0000
Y 0.0000 2.5412 5.0734
Y 0.0000 2.5412 10.1651
Y 2.5412 0.0000 0.0000
Y 2.5412 0.0000 5.0734
Y 2.5412 0.0000 10.1651
Y 2.5412 2.5412 2.5362
Y 2.5412 2.5412 7.6193
Y 2.5412 2.5412 12.7023
```

Principal peaks in the range 10 to 90 degrees two-theta, in order of rising 2θ:
17.5 deg, intensity 5
24.8 deg, intensity 4
30.5 deg, intensity 100
35.3 deg, intensity 50
50.8 deg, intensity 35
60.4 deg, intensity 41
63.4 deg, intensity 12
74.7 deg, intensity 5
82.8 deg, intensity 17
85.5 deg, intensity 15

***

Entry 5:
CsPmAgF5: theoretical powder diffraction line list (Cu Kα (weighted mean of Kα1 and Kα2)), based on the GGA-PBE geometry in Alexandria.
Kinematic intensities with the Lorentz-polarization factor, no thermal factor.

```
16
Lattice="3.8229 -5.7117 0.0000 3.8229 5.7117 0.0000 -2.5909 0.0000 8.3501" Properties=species:S:1:pos:R:3 pbc="T T T"
Cs 1.8797 3.8321 6.2626
Cs 3.1752 -3.8321 2.0875
Pm 3.8229 0.0000 0.0000
Pm 2.5275 0.0000 4.1750
Ag 3.1752 3.6987 2.0875
Ag 1.8797 -3.6987 6.2626
F -0.8867 0.5724 7.8010
F 2.0880 2.1012 3.4614
F 0.4087 -0.5724 3.6260
F 4.2624 2.1012 0.7136
F 1.8797 0.6850 6.2626
F 3.1752 -0.6850 2.0875
F 0.7925 -2.1012 7.6365
F 4.6462 0.5724 4.7241
F 2.9670 -2.1012 4.8887
F 5.9416 -0.5724 0.5491
```

Principal peaks in the range 10 to 90 degrees two-theta, in order of rising 2θ:
22.6 deg, intensity 57
24.4 deg, intensity 48
26.4 deg, intensity 100
28.7 deg, intensity 18
31.5 deg, intensity 13
37.7 deg, intensity 13
38.2 deg, intensity 12
44.2 deg, intensity 23
48.0 deg, intensity 17
54.3 deg, intensity 18

***

Entry 6:
LaPm3Tc: theoretical powder diffraction line list (Cu Kα (weighted mean of Kα1 and Kα2)), based on the GGA-PBE geometry in Alexandria.
Kinematic intensities with the Lorentz-polarization factor, no thermal factor.

```
10
Lattice="6.2126 -2.0162 0.0000 6.2126 2.0162 0.0000 -4.9572 0.0000 12.2909" Properties=species:S:1:pos:R:3 pbc="T T T"
La 0.0000 0.0000 0.0000
La -0.0777 0.0000 3.4327
Pm 0.0597 0.0000 9.3942
Pm 3.3691 0.0000 1.7273
Pm 5.3457 0.0000 6.5182
Pm 3.8747 0.0000 11.0871
Pm 8.7922 0.0000 4.8033
Pm 8.8682 0.0000 8.1825
Tc 1.1628 0.0000 6.5228
Tc 7.5496 0.0000 1.7866
```

Principal peaks in the range 10 to 90 degrees two-theta, in order of rising 2θ:
29.1 deg, intensity 54
30.0 deg, intensity 93
31.0 deg, intensity 70
31.2 deg, intensity 85
31.5 deg, intensity 46
32.2 deg, intensity 100
33.7 deg, intensity 53
33.9 deg, intensity 51
45.0 deg, intensity 56
52.5 deg, intensity 42

***

Entry 7:
MnNbCoHSe: theoretical powder diffraction line list (Cu Kα (weighted mean of Kα1 and Kα2)), based on the GGA-PBE geometry in Alexandria.
Kinematic intensities with the Lorentz-polarization factor, no thermal factor.

```
5
Lattice="3.5785 0.0000 0.0000 0.0000 1.6392 5.2285 0.0000 -1.6392 5.2285" Properties=species:S:1:pos:R:3 pbc="T T T"
Mn 0.0000 0.0000 0.0000
Nb 1.7892 0.0000 3.6360
Co 1.7892 0.0000 6.3098
H 1.7892 0.0000 0.6032
Se 0.0000 0.0000 7.7605
```

Principal peaks in the range 10 to 90 degrees two-theta, in order of rising 2θ:
37.7 deg, intensity 48
38.2 deg, intensity 100
42.8 deg, intensity 74
45.7 deg, intensity 22
51.0 deg, intensity 23
51.9 deg, intensity 18
56.1 deg, intensity 17
65.1 deg, intensity 19
73.1 deg, intensity 28
79.3 deg, intensity 12

***

Entry 8:
TlAsP2O8: theoretical powder diffraction line list (Cu Kα (weighted mean of Kα1 and Kα2)), based on the GGA-PBE geometry in Alexandria.
Kinematic intensities with the Lorentz-polarization factor, no thermal factor.

```
12
Lattice="2.3545 1.3593 8.9391 -2.3545 1.3593 8.9391 0.0000 -2.7187 8.9391" Properties=species:S:1:pos:R:3 pbc="T T T"
Tl 0.0000 0.0000 0.0000
As 0.0000 0.0000 13.4087
P 0.0000 0.0000 6.1277
P 0.0000 0.0000 20.6897
O -1.4784 -0.1750 12.3102
O -0.5877 -1.3678 14.5073
O 0.0000 0.0000 7.6250
O -0.8907 1.1928 14.5073
O 0.8907 -1.1928 12.3102
O 0.0000 0.0000 19.1925
O 0.5877 1.3678 12.3102
O 1.4784 0.1750 14.5073
```

Principal peaks in the range 10 to 90 degrees two-theta, in order of rising 2θ:
19.9 deg, intensity 22
22.8 deg, intensity 31
25.6 deg, intensity 100
34.6 deg, intensity 27
38.2 deg, intensity 27
40.2 deg, intensity 18
43.4 deg, intensity 20
46.6 deg, intensity 15
56.8 deg, intensity 20
61.8 deg, intensity 15

***

Entry 9:
In5Ga4Hg: theoretical powder diffraction line list (Cu Kα (weighted mean of Kα1 and Kα2)), based on the GGA-PBE geometry in Alexandria.
Kinematic intensities with the Lorentz-polarization factor, no thermal factor.

```
10
Lattice="3.0506 -1.8119 0.0000 3.0506 1.8119 0.0000 -2.7579 0.0000 21.7729" Properties=species:S:1:pos:R:3 pbc="T T T"
In 0.0000 0.0000 0.0000
In -0.4416 0.0000 13.2002
In 1.8911 0.0000 4.2942
In 1.4521 0.0000 17.4787
In 3.7848 0.0000 8.5727
Ga -0.2176 0.0000 6.4408
Ga -0.6589 0.0000 19.6142
Ga 4.0022 0.0000 2.1587
Ga 3.5608 0.0000 15.3321
Hg 1.6716 0.0000 10.8864
```

Principal peaks in the range 10 to 90 degrees two-theta, in order of rising 2θ:
32.0 deg, intensity 100
39.6 deg, intensity 37
41.2 deg, intensity 16
41.5 deg, intensity 16
50.4 deg, intensity 9
51.6 deg, intensity 17
60.9 deg, intensity 11
64.9 deg, intensity 8
67.0 deg, intensity 7
67.1 deg, intensity 7

***

Entry 10:
Ni17Pd2: theoretical powder diffraction line list (Cu Kα (weighted mean of Kα1 and Kα2)), based on the GGA-PBE geometry in Alexandria.
Kinematic intensities with the Lorentz-polarization factor, no thermal factor.

```
19
Lattice="4.0364 2.3304 4.0131 -4.0364 2.3304 4.0131 0.0000 -4.6608 4.0131" Properties=species:S:1:pos:R:3 pbc="T T T"
Ni -4.0364 0.0000 6.0197
Ni -1.2177 -2.5517 4.0131
Ni -2.0182 1.1652 2.0065
Ni -2.8187 0.2213 4.0131
Ni 0.0000 0.0000 1.1977
Ni -1.9917 -1.1499 5.8247
Ni 1.2177 -2.5517 4.0131
Ni -1.6010 2.3304 4.0131
Ni 0.0000 -2.2998 6.2146
Ni -1.9917 1.1499 6.2146
Ni 2.0182 1.1652 2.0066
Ni 1.9917 -1.1499 5.8247
Ni 0.0000 2.2998 5.8247
Ni 2.8187 0.2213 4.0131
Ni 1.6010 2.3304 4.0131
Ni 1.9917 1.1499 6.2146
Ni 0.0000 0.0000 10.8416
Pd 0.0000 0.0000 4.0505
Pd 0.0000 0.0000 7.9888
```

Principal peaks in the range 10 to 90 degrees two-theta, in order of rising 2θ:
31.4 deg, intensity 11
38.6 deg, intensity 24
39.5 deg, intensity 18
45.0 deg, intensity 100
45.2 deg, intensity 21
45.7 deg, intensity 21
50.6 deg, intensity 27
74.4 deg, intensity 10
82.8 deg, intensity 13
83.3 deg, intensity 12

***

Entry 11:
CoRu: theoretical powder diffraction line list (Cu Kα (weighted mean of Kα1 and Kα2)), based on the GGA-PBE geometry in Alexandria.
Kinematic intensities with the Lorentz-polarization factor, no thermal factor.

```
2
Lattice="2.6500 0.0000 0.0000 -1.3250 2.2950 0.0000 0.0000 0.0000 4.0898" Properties=species:S:1:pos:R:3 pbc="T T T"
Co 0.0000 0.0000 0.0000
Ru 0.0000 1.5300 2.0449
```

Principal peaks in the range 10 to 90 degrees two-theta, in order of rising 2θ:
21.7 deg, intensity 10
39.3 deg, intensity 30
44.3 deg, intensity 23
45.3 deg, intensity 100
60.7 deg, intensity 16
71.2 deg, intensity 16
82.3 deg, intensity 16
84.4 deg, intensity 3
87.8 deg, intensity 18
88.5 deg, intensity 14

***

Entry 12:
CeU2MnC4: theoretical powder diffraction line list (Cu Kα (weighted mean of Kα1 and Kα2)), based on the GGA-PBE geometry in Alexandria.
Kinematic intensities with the Lorentz-polarization factor, no thermal factor.

```
16
Lattice="1.7595 -5.6503 0.0000 1.7595 5.6503 0.0000 0.0000 0.0000 11.6013" Properties=species:S:1:pos:R:3 pbc="T T T"
Ce 1.7595 4.5130 8.7010
Ce 1.7595 -4.5130 2.9003
U 1.7595 1.4804 6.3825
U 1.7595 1.4804 11.0194
U 1.7595 -1.4804 0.5819
U 1.7595 -1.4804 5.2188
Mn 1.7595 3.8617 2.9003
Mn 1.7595 -3.8617 8.7010
C 0.0000 0.0000 0.0000
C 0.0000 0.0000 5.8006
C 1.7595 2.7328 1.4175
C 1.7595 2.7328 4.3831
C 1.7595 0.8089 8.7010
C 1.7595 -0.8089 2.9003
C 1.7595 -2.7328 7.2181
C 1.7595 -2.7328 10.1838
```

Principal peaks in the range 10 to 90 degrees two-theta, in order of rising 2θ:
15.3 deg, intensity 21
28.0 deg, intensity 73
30.8 deg, intensity 100
31.7 deg, intensity 45
35.4 deg, intensity 27
35.8 deg, intensity 22
38.3 deg, intensity 54
42.1 deg, intensity 19
47.6 deg, intensity 27
53.2 deg, intensity 22